SrLa2ZnO: computed powder diffraction line list (λ = 1.5418 Å (Cu Kα)), based on a cell relaxed with PBE.
Peak positions follow from Bragg's law for the DFT cell and can differ from measured ones.

Cell lengths 5.032, 5.032, 5.161 Å; angles 90.00, 90.00, 90.00 degrees
Space group P4/mmm (No. 123)
Asymmetric unit:
Sr: 0.000 0.000 0.000
La: 0.000 0.500 0.500
Zn: 0.500 0.500 0.000
O: 0.000 0.000 0.500

Principal peaks in the range 2θ from 15° to 90°, sorted by position:
- 2θ 17.18, I = 10, (0 0 1)
- 2θ 30.52, I = 100, (1 1 1)
- 2θ 34.77, I = 21, (0 0 2)
- 2θ 35.68, I = 38, (2 0 0)
- 2θ 50.67, I = 28, (2 0 2)
- 2θ 51.36, I = 13, (2 2 0)
- 2θ 59.70, I = 15, (1 1 3)
- 2θ 60.92, I = 28, (3 1 1)
- 2θ 63.51, I = 14, (2 2 2)
- 2θ 82.59, I = 12, (3 1 3)

---

SrLa2ZrO6: computed powder diffraction line list (λ = 1.5418 Å (Cu Kα)), based on a cell relaxed with PBE.
Peak positions follow from Bragg's law for the DFT cell and can differ from measured ones.

Cell lengths 6.0590, 6.0590, 15.5015 Å; angles 90.00, 90.00, 120.00 degrees
Space group R3 (No. 146, hexagonal axes)
Asymmetric unit:
Sr: 0.0000 0.0000 0.0000
La: 0.0000 0.0000 0.2726
La: 0.0000 0.0000 0.7741
Zr: 0.0000 0.0000 0.4894
O: 0.0035 0.3795 0.2177
O: 0.0036 0.7336 0.3938

Principal peaks in the range 2θ from 15° to 90°, sorted by position:
- 2θ 20.44, I = 23, (0 1 2)
- 2θ 28.64, I = 100, (1 0 4)
- 2θ 29.48, I = 93, (1 1 0)
- 2θ 41.57, I = 43, (0 2 4)
- 2θ 46.18, I = 26, (2 -1 6)
- 2θ 50.19, I = 16, (0 1 8)
- 2θ 51.78, I = 43, (3 -1 4)
- 2θ 52.30, I = 29, (3 0 0)
- 2θ 61.19, I = 13, (2 2 0)
- 2θ 68.92, I = 16, (1 3 4)

---

La2TaO5: computed powder diffraction line list (λ = 1.5418 Å (Cu Kα)), based on a cell relaxed with PBE.
Peak positions follow from Bragg's law for the DFT cell and can differ from measured ones.

Cell lengths 11.122, 3.962, 11.881 Å; angles 90.00, 90.00, 90.00 degrees
Space group Pnma (No. 62)
Asymmetric unit:
La: 0.105 0.250 0.229
La: 0.131 0.250 0.558
Ta: 0.186 0.250 0.880
O: 0.017 0.750 0.603
O: 0.023 0.250 0.828
O: 0.208 0.250 0.040
O: 0.219 0.750 0.880
O: 0.240 0.750 0.227

Principal peaks in the range 2θ from 15° to 90°, sorted by position:
- 2θ 23.85, I = 10, (1 0 3)
- 2θ 27.65, I = 100, (2 1 0)
- 2θ 31.95, I = 26, (0 1 3)
- 2θ 32.98, I = 11, (1 1 3)
- 2θ 33.09, I = 14, (4 0 1)
- 2θ 45.81, I = 15, (0 2 0)
- 2θ 45.99, I = 14, (4 1 3)
- 2θ 46.59, I = 10, (1 0 6)
- 2θ 54.35, I = 17, (2 2 3)
- 2θ 57.67, I = 13, (3 1 6)

---

Please write out number 1 again, unchanged.
SrLa2ZnO: computed powder diffraction line list (λ = 1.5418 Å (Cu Kα)), based on a cell relaxed with PBE.
Peak positions follow from Bragg's law for the DFT cell and can differ from measured ones.

Cell lengths 5.032, 5.032, 5.161 Å; angles 90.00, 90.00, 90.00 degrees
Space group P4/mmm (No. 123)
Asymmetric unit:
Sr: 0.000 0.000 0.000
La: 0.000 0.500 0.500
Zn: 0.500 0.500 0.000
O: 0.000 0.000 0.500

Principal peaks in the range 2θ from 15° to 90°, sorted by position:
- 2θ 17.18, I = 10, (0 0 1)
- 2θ 30.52, I = 100, (1 1 1)
- 2θ 34.77, I = 21, (0 0 2)
- 2θ 35.68, I = 38, (2 0 0)
- 2θ 50.67, I = 28, (2 0 2)
- 2θ 51.36, I = 13, (2 2 0)
- 2θ 59.70, I = 15, (1 1 3)
- 2θ 60.92, I = 28, (3 1 1)
- 2θ 63.51, I = 14, (2 2 2)
- 2θ 82.59, I = 12, (3 1 3)